Theoretical powder X-ray diffraction pattern of P2PtO7 for Cu Kα X-rays, from a crystal structure in Alexandria, relaxed with GGA-PBE.

Atomic structure:
a b c (Å): 7.207 8.051 9.492
angles (deg): 90.00 112.84 90.00
Space group P2_1/c (No. 14)
Asymmetric unit:
P: 0.069 0.181 0.321
P: 0.342 0.748 0.206
Pt: 0.000 0.000 0.000
Pt: 0.500 0.000 0.500
O: 0.060 0.186 0.156
O: 0.123 0.140 0.881
O: 0.148 0.633 0.179
O: 0.200 0.042 0.423
O: 0.277 0.601 0.598
O: 0.438 0.712 0.878
O: 0.496 0.638 0.176

The 8 most intense peaks (10 to 90 degrees two-theta), in order of rising 2θ:
17.24 deg, rel. 100, (1 1 -1); 20.30 deg, rel. 14, (0 0 2); 22.59 deg, rel. 43, (1 1 1); 26.84 deg, rel. 18, (2 0 0); 30.17 deg, rel. 38, (0 2 2); 30.39 deg, rel. 27, (1 1 -3); 34.89 deg, rel. 15, (2 2 -2); 39.54 deg, rel. 19, (3 1 -1)